No. 1
Diffraction record for SnHF. The XRD peak list is simulated, not measured: it uses a structure optimized by DFT (GGA-PBE) and Cu Kα (weighted mean of Kα1 and Kα2).
Kinematic intensities with the Lorentz-polarization factor, no thermal factor.

The 10 most intense peaks (2θ from 10° to 90°), most intense first:
h k l, Position (°2θ), intensity
1 0 1, 25.64, 100
1 0 2, 33.97, 49
2 -1 1, 41.16, 38
2 0 0, 45.36, 27
1 1 2, 47.11, 26
2 0 3, 60.93, 23
0 0 3, 38.44, 20
3 -1 1, 62.90, 17
2 1 2, 67.47, 14
1 0 4, 57.30, 12

Cell and atoms:
```
data_SnHF
_cell_length_a 4.6170
_cell_length_b 4.6170
_cell_length_c 7.0249
_cell_angle_alpha 90.00
_cell_angle_beta 90.00
_cell_angle_gamma 120.00
_space_group_name_H-M_alt 'P 32 1 2'
_space_group_IT_number 153
_space_group_name_Hall 'P 32 2 (0 0 2)'
loop_
_atom_site_label
_atom_site_type_symbol
_atom_site_fract_x
_atom_site_fract_y
_atom_site_fract_z
Sn1 Sn 0.0117 0.5058 0.0000
H1 H 0.2563 0.5126 0.3333
F1 F 0.1960 0.0980 0.0000
```



No. 2
Diffraction record for Ce3GaPt6. The XRD peak list is simulated, not measured: it uses a structure optimized by DFT (GGA-PBE) and Cu Kα (weighted mean of Kα1 and Kα2).
Kinematic intensities with the Lorentz-polarization factor, no thermal factor.

The 10 most intense peaks (2θ from 10° to 90°), most intense first:
h k l, Position (°2θ), intensity
3 0 0, 32.07, 100
0 3 3, 47.05, 71
0 0 3, 33.49, 57
2 2 0, 37.20, 27
1 3 1, 40.44, 25
1 0 1, 15.29, 22
2 2 3, 50.91, 20
3 1 2, 45.11, 19
4 0 1, 44.74, 17
0 3 6, 79.43, 16

Cell and atoms:
```
data_Ce3GaPt6
_cell_length_a 9.6680
_cell_length_b 9.6680
_cell_length_c 8.0274
_cell_angle_alpha 90.00
_cell_angle_beta 90.00
_cell_angle_gamma 120.00
_space_group_name_H-M_alt 'R 3 m'
_space_group_IT_number 160
_space_group_name_Hall 'R 3 -2"'
loop_
_atom_site_label
_atom_site_type_symbol
_atom_site_fract_x
_atom_site_fract_y
_atom_site_fract_z
Ce1 Ce 0.1918 0.3836 0.0000
Ga1 Ga 0.0000 0.0000 0.0409
Pt1 Pt 0.1866 0.3732 0.6497
Pt2 Pt 0.1989 0.0994 0.6484
```



No. 3
Diffraction record for Nd2InSiPd6. The XRD peak list is simulated, not measured: it uses a structure optimized by DFT (GGA-PBE) and Cu Kα (weighted mean of Kα1 and Kα2).
Kinematic intensities with the Lorentz-polarization factor, no thermal factor.

The 10 most intense peaks (2θ from 10° to 90°), most intense first:
h k l, Position (°2θ), intensity
2 2 0, 37.98, 100
1 2 3, 41.25, 89
2 0 2, 38.45, 86
0 2 2, 29.25, 76
0 4 0, 40.96, 75
1 2 1, 27.80, 66
2 4 2, 57.44, 53
1 2 2, 33.39, 49
0 0 1, 10.45, 36
3 2 3, 63.20, 27

Cell and atoms:
```
data_Nd2InSiPd6
_cell_length_a 5.619
_cell_length_b 8.813
_cell_length_c 8.466
_cell_angle_alpha 90.00
_cell_angle_beta 90.00
_cell_angle_gamma 90.00
_space_group_name_H-M_alt 'P m m n'
_space_group_IT_number 59
loop_
_space_group_symop_operation_xyz
'x,y,z'
'-x,-y,-z'
'-x+1/2,-y+1/2,z'
'x+1/2,y+1/2,-z'
'x+1/2,-y,-z'
'-x+1/2,y,z'
'-x,y+1/2,-z'
'x,-y+1/2,z'
loop_
_atom_site_label
_atom_site_type_symbol
_atom_site_fract_x
_atom_site_fract_y
_atom_site_fract_z
Nd1 Nd 0.250 0.001 0.239
In1 In 0.250 0.250 0.788
Si1 Si 0.250 0.750 0.725
Pd1 Pd 0.002 0.250 0.507
Pd2 Pd 0.003 0.750 0.950
Pd3 Pd 0.250 0.502 0.603
```



No. 4
Diffraction record for ZnAgPdPt. The XRD peak list is simulated, not measured: it uses a structure optimized by DFT (GGA-PBE) and Cu Kα (weighted mean of Kα1 and Kα2).
Kinematic intensities with the Lorentz-polarization factor, no thermal factor.

The 10 most intense peaks (2θ from 10° to 90°), most intense first:
h k l, Position (°2θ), intensity
1 0 2, 39.47, 100
1 1 0, 44.52, 37
2 1 2, 78.58, 26
1 1 4, 67.99, 16
2 0 0, 64.78, 12
0 0 1, 11.80, 12
0 0 4, 48.57, 12
1 0 1, 33.34, 10
2 0 4, 84.96, 9
1 0 6, 84.53, 7

Cell and atoms:
```
data_ZnAgPdPt
_cell_length_a 2.878
_cell_length_b 2.878
_cell_length_c 7.498
_cell_angle_alpha 90.00
_cell_angle_beta 90.00
_cell_angle_gamma 90.00
_space_group_name_H-M_alt 'P 4 m m'
_space_group_IT_number 99
_space_group_name_Hall 'P 4 -2'
loop_
_atom_site_label
_atom_site_type_symbol
_atom_site_fract_x
_atom_site_fract_y
_atom_site_fract_z
Zn1 Zn 0.000 0.000 0.000
Ag1 Ag 0.000 0.000 0.495
Pd1 Pd 0.500 0.500 0.224
Pt1 Pt 0.500 0.500 0.772
```